Entry 1:
# ReC2I2O2
Theoretical powder X-ray diffraction pattern, a wavelength of 1.5418 Å. Input: a DFT-relaxed cell (GGA-PBE, OQMD).
No peak broadening, texture or thermal motion is included.

Most intense lines, 2θ from 15° to 90°, in order of rising 2θ:
5.693 Å, intensity 52; 3.327 Å, intensity 37; 3.139 Å, intensity 22; 3.012 Å, intensity 100; 2.924 Å, intensity 19; 2.641 Å, intensity 60; 2.296 Å, intensity 59; 1.995 Å, intensity 48; 1.762 Å, intensity 18; 1.318 Å, intensity 20

Structural model:
```
ReC2I2O2
1.0
3.4556 1.9951 12.2896
-3.4556 1.9951 12.2896
0.0000 -3.9902 12.2896
Re C I O
3 6 6 6
Direct
0.0000 0.0000 0.0000
0.0930 0.0930 0.0930
0.9070 0.9070 0.9070
0.1063 0.6439 0.8851
0.1149 0.8937 0.3561
0.3561 0.1149 0.8937
0.6439 0.8851 0.1063
0.8851 0.1063 0.6439
0.8937 0.3561 0.1149
0.0465 0.3595 0.7259
0.2741 0.9535 0.6405
0.3595 0.7259 0.0465
0.6405 0.2741 0.9535
0.7259 0.0465 0.3595
0.9535 0.6405 0.2741
0.1242 0.7694 0.5203
0.2306 0.4797 0.8758
0.4797 0.8758 0.2306
0.5203 0.1242 0.7694
0.7694 0.5203 0.1242
0.8758 0.2306 0.4797
```

Entry 2:
# Pr4C2I5
Theoretical powder X-ray diffraction pattern, a wavelength of 1.5418 Å. Input: a DFT-relaxed cell (GGA-PBE, OQMD).
No peak broadening, texture or thermal motion is included.

Most intense lines, 2θ from 15° to 90°, in order of rising 2θ:
3.370 Å, intensity 25; 3.306 Å, intensity 67; 3.101 Å, intensity 24; 3.010 Å, intensity 100; 2.787 Å, intensity 18; 2.617 Å, intensity 17; 2.233 Å, intensity 36; 2.219 Å, intensity 40; 2.044 Å, intensity 19; 1.739 Å, intensity 21

Structural model:
```
Pr4C2I5
1.0
10.1843 -2.0443 0.0000
10.1843 2.0443 0.0000
-2.0251 0.0000 8.6638
Pr C I
4 2 5
Direct
0.0000 0.0000 0.1910
0.0000 0.0000 0.8090
0.3488 0.3488 0.9187
0.6512 0.6512 0.0813
0.4650 0.4650 0.9821
0.5350 0.5350 0.0179
0.1610 0.1610 0.3579
0.1669 0.1669 0.8126
0.5000 0.5000 0.5000
0.8331 0.8331 0.1874
0.8390 0.8390 0.6421
```